1.
# TcPHOsSN
Computed X-ray powder pattern, Cu Kα, 1.54184 Å. Input: the PBE geometry in Alexandria.

Structural model:
a b c (Å): 8.145 2.967 5.764
angles (deg): 90.00 100.49 90.00
Atoms (fractional coordinates):
Tc1 0.000 0.000 0.000
Tc2 0.500 0.500 0.000
P1 0.446 0.500 0.569
P2 0.946 0.000 0.569
H1 0.347 0.000 0.904
H2 0.847 0.500 0.904
Os1 0.166 0.500 0.659
Os2 0.666 0.000 0.659
S1 0.165 0.500 0.247
S2 0.665 0.000 0.247
N1 0.371 0.500 0.264
N2 0.871 0.000 0.264

Top 10 peaks for 2θ from 10° to 80°, sorted by position:
15.64°, I 94; 22.20°, I 69; 29.57°, I 81; 31.57°, I 43; 32.18°, I 100; 35.02°, I 93; 35.31°, I 84; 45.23°, I 53; 45.72°, I 92; 47.21°, I 80



2.
# TcPHOsSN
Computed X-ray powder pattern, Cu Kα, 1.54184 Å. Input: the PBE geometry in Alexandria.

Structural model:
a b c (Å): 7.924 3.009 6.144
angles (deg): 90.00 100.01 90.00
Atoms (fractional coordinates):
Tc1 0.000 0.000 0.000
Tc2 0.500 0.500 0.000
P1 0.421 0.500 0.574
P2 0.921 0.000 0.574
H1 0.110 0.500 0.423
H2 0.610 0.000 0.423
Os1 0.145 0.500 0.688
Os2 0.645 0.000 0.688
S1 0.210 0.500 0.098
S2 0.710 0.000 0.098
N1 0.382 0.500 0.282
N2 0.882 0.000 0.282

Top 10 peaks for 2θ from 10° to 80°, sorted by position:
14.64°, I 100; 22.79°, I 42; 29.32°, I 48; 29.53°, I 28; 31.87°, I 58; 34.21°, I 42; 34.36°, I 61; 45.43°, I 55; 46.13°, I 45; 46.61°, I 41